For Ti6IrRh, DFT lattice parameters and positions (PBE) gives the theoretical X-ray powder pattern in this record (Cu Kα (λ = 1.5418 Å)).
Kinematic intensities with the Lorentz-polarization factor, no thermal factor.

Atomic structure:
Cell lengths 6.142, 9.025, 4.511 Å; angles 90.00, 90.00, 90.00 degrees
Fractional positions:
Ti 0.000 0.248 0.000
Ti 0.000 0.752 0.000
Ti 0.249 0.000 0.000
Ti 0.250 0.250 0.500
Ti 0.250 0.750 0.500
Ti 0.251 0.500 0.000
Ti 0.500 0.252 0.000
Ti 0.500 0.748 0.000
Ti 0.749 0.500 0.000
Ti 0.750 0.250 0.500
Ti 0.750 0.750 0.500
Ti 0.751 0.000 0.000
Ir 0.000 0.000 0.500
Ir 0.500 0.500 0.500
Rh 0.000 0.500 0.500
Rh 0.500 0.000 0.500

The 8 most intense peaks (10 to 90 degrees two-theta), in order of rising 2θ:
- 19.68°, I = 37
- 27.97°, I = 16
- 35.36°, I = 18
- 39.96°, I = 53
- 40.78°, I = 100
- 57.80°, I = 17
- 73.14°, I = 33
- 74.79°, I = 15

For Pm7Dy12Ho, DFT lattice parameters and positions (PBE) gives the theoretical X-ray powder pattern in this record (Cu Kα (λ = 1.5418 Å)).
Kinematic intensities with the Lorentz-polarization factor, no thermal factor.

Atomic structure:
Cell lengths 8.778, 8.778, 8.778 Å; angles 86.06, 86.06, 86.06 degrees
Fractional positions:
Pm 0.000 0.000 0.000
Pm 0.102 0.346 0.422
Pm 0.346 0.422 0.102
Pm 0.422 0.102 0.346
Pm 0.578 0.898 0.654
Pm 0.654 0.578 0.898
Pm 0.898 0.654 0.578
Dy 0.003 0.366 0.883
Dy 0.117 0.997 0.634
Dy 0.228 0.753 0.353
Dy 0.247 0.647 0.772
Dy 0.353 0.228 0.753
Dy 0.366 0.883 0.003
Dy 0.634 0.117 0.997
Dy 0.647 0.772 0.247
Dy 0.753 0.353 0.228
Dy 0.772 0.247 0.647
Dy 0.883 0.003 0.366
Dy 0.997 0.634 0.117
Ho 0.500 0.500 0.500

The 8 most intense peaks (10 to 90 degrees two-theta), in order of rising 2θ:
- 28.84°, I = 27
- 30.69°, I = 43
- 31.58°, I = 100
- 31.75°, I = 48
- 32.56°, I = 21
- 33.03°, I = 55
- 36.47°, I = 17
- 55.32°, I = 26